Computed PXRD pattern
Compound: Re7Ir6
Radiation: λ = 1.5418 Å (Cu Kα)
Structure: a crystal structure in Alexandria, relaxed with GGA-PBE

Cell and atoms:
Cell: 9.4626 9.4626 9.4626 Å, 31.14 31.14 31.14°
Element x y z (fractional)
Re (0.0000, 0.0000, 0.0000)
Re (0.0893, 0.0893, 0.5830)
Re (0.0893, 0.5830, 0.0893)
Re (0.4170, 0.9107, 0.9107)
Re (0.5830, 0.0893, 0.0893)
Re (0.9107, 0.4170, 0.9107)
Re (0.9107, 0.9107, 0.4170)
Ir (0.1622, 0.1622, 0.1622)
Ir (0.3489, 0.3489, 0.3489)
Ir (0.4535, 0.4535, 0.4535)
Ir (0.5465, 0.5465, 0.5465)
Ir (0.6511, 0.6511, 0.6511)
Ir (0.8378, 0.8378, 0.8378)

Peak list (10 most intense, 2θ from 10° to 90°, by intensity)
| d [Å] | 2θ/deg | I (rel.) |
| --- | --- | --- |
| 2.212 | 40.8 | 100 |
| 2.301 | 39.2 | 50 |
| 2.540 | 35.3 | 49 |
| 2.143 | 42.2 | 48 |
| 2.037 | 44.5 | 48 |
| 2.192 | 41.2 | 47 |
| 1.270 | 74.8 | 37 |
| 1.911 | 47.6 | 29 |
| 2.249 | 40.1 | 25 |
| 1.376 | 68.1 | 24 |